# Pm2CrMoO8
Calculated powder diffraction line list, a wavelength of 1.5418 Å. Input: a DFT-relaxed cell (PBE+U, Alexandria).
No peak broadening, texture or thermal motion is included.

Crystal structure
Cell: 5.270 5.874 5.921 Å, 76.24 75.02 70.43°
Space group P-1 (No. 2)
Inequivalent atoms, fractional coordinates:
Pm (0.099, 0.153, 0.184) [2 per cell]
Cr (0.500, 0.500, 0.000) [1 per cell]
Mo (0.500, 0.500, 0.500) [1 per cell]
O (0.254, 0.824, 0.475) [2 per cell]
O (0.269, 0.427, 0.818) [2 per cell]
O (0.273, 0.827, 0.979) [2 per cell]
O (0.298, 0.410, 0.316) [2 per cell]

Main lines, by angle (2θ = 15–90°):
Position (°2θ)	I (rel.)	(hkl)
20.62	56	1 1 0
21.81	100	1 1 1
24.51	84	0 1 -1
26.41	54	1 0 -1
27.88	92	1 -1 0
33.25	46	0 1 2
33.46	45	1 0 2
43.36	40	1 1 -2